For Ta4SnO12, the PBE geometry in the Materials Project gives the computed powder diffraction line list in this record (Cu Kα (weighted mean of Kα1 and Kα2)).
Neutral-atom scattering factors, no anomalous dispersion.

Principal peaks in the range 2θ from 5° to 70°, low angle first:
Position (°2θ)	I_rel
15.8	15
22.4	91
31.9	100
39.3	10
45.7	33
51.5	38
56.8	41
66.6	20

Crystal structure
abc: 6.8756 6.8756 6.8756
angles: 109.47 109.47 109.47
Positions (direct):
Ta 0.0000 0.0000 0.5000
Ta 0.0000 0.5000 0.0000
Ta 0.5000 0.0000 0.0000
Ta 0.5000 0.5000 0.5000
Sn 0.0000 0.0000 0.0000
O 0.0000 0.2430 0.7570
O 0.0000 0.7570 0.2430
O 0.2430 0.0000 0.7570
O 0.2430 0.2430 0.4860
O 0.2430 0.4860 0.2430
O 0.2430 0.7570 0.0000
O 0.4860 0.2430 0.2430
O 0.5140 0.7570 0.7570
O 0.7570 0.0000 0.2430
O 0.7570 0.2430 0.0000
O 0.7570 0.5140 0.7570
O 0.7570 0.7570 0.5140


For TaSnO3, the PBE geometry in the Materials Project gives the computed powder diffraction line list in this record (Cu Kα (weighted mean of Kα1 and Kα2)).
Neutral-atom scattering factors, no anomalous dispersion.

Principal peaks in the range 2θ from 5° to 70°, low angle first:
Position (°2θ)	I_rel
21.8	9
31.1	100
44.5	28
50.1	3
55.2	41
64.7	18
69.2	1

Crystal structure
abc: 4.0726 4.0726 4.0726
angles: 90.00 90.00 90.00
Positions (direct):
Ta 0.0000 0.0000 0.0000
Sn 0.5000 0.5000 0.5000
O 0.0000 0.0000 0.5000
O 0.0000 0.5000 0.0000
O 0.5000 0.0000 0.0000